# MgNi2O4
Theoretical X-ray diffraction stick pattern, Cu Kα (λ = 1.5418 Å). Input: a DFT-relaxed cell (GGA+U, the Materials Project).
Neutral-atom scattering factors, no anomalous dispersion.

Most intense lines, 10° ≤ 2θ ≤ 80°, by angle:
2theta  Rel. int.  hkl
18.6  45  2 0 -2
30.4  33  2 0 -6
30.7  51  3 1 -1
35.8  100  2 2 -2
35.9  65  0 2 4
36.4  48  4 0 0
36.4  32  2 0 6
43.5  33  2 2 -6
63.8  35  6 2 -2
64.0  36  2 2 10

Cell and atoms:
```
data_MgNi2O4
_space_group_name_H-M_alt 'C 1 m 1'
_space_group_IT_number 8
_space_group_name_Hall 'C -2y'
_cell_length_a 10.084
_cell_length_b 5.875
_cell_length_c 19.441
_cell_angle_alpha 90.00
_cell_angle_beta 101.13
_cell_angle_gamma 90.00
loop_
_atom_site_label
_atom_site_fract_x
_atom_site_fract_y
_atom_site_fract_z
Mg1 0.000 0.000 0.000
Mg2 0.000 0.500 0.500
Mg3 0.022 0.500 0.098
Mg4 0.123 0.500 0.375
Mg5 0.248 0.000 0.750
Mg6 0.252 0.500 0.250
Mg7 0.270 0.500 0.843
Mg8 0.375 0.000 0.626
Ni1 0.001 0.248 0.251
Ni2 0.024 0.000 0.591
Ni3 0.125 0.000 0.875
Ni4 0.224 0.500 0.658
Ni5 0.227 0.000 0.156
Ni6 0.249 0.251 0.500
Ni7 0.250 0.252 0.000
Ni8 0.273 0.000 0.344
Ni9 0.374 0.500 0.123
Ni10 0.476 0.000 0.905
Ni11 0.477 0.500 0.409
Ni12 0.498 0.253 0.751
O1 0.046 0.000 0.181
O2 0.056 0.000 0.690
O3 0.057 0.500 0.201
O4 0.060 0.500 0.696
O5 0.078 0.264 0.443
O6 0.079 0.229 0.938
O7 0.168 0.223 0.811
O8 0.177 0.259 0.308
O9 0.189 0.000 0.558
O10 0.194 0.000 0.052
O11 0.195 0.500 0.558
O12 0.198 0.500 0.065
O13 0.306 0.500 0.444
O14 0.306 0.500 0.948
O15 0.307 0.000 0.442
O16 0.312 0.000 0.940
O17 0.326 0.237 0.694
O18 0.330 0.277 0.186
O19 0.420 0.278 0.062
O20 0.424 0.239 0.558
O21 0.433 0.000 0.312
O22 0.443 0.000 0.806
O23 0.443 0.500 0.807
O24 0.446 0.500 0.303
```